Record 1
For Na2Ti2Si2O11, a crystal structure in the Materials Project, relaxed with GGA-PBE gives the computed powder X-ray diffraction pattern in this record (Cu Kα (λ = 1.5418 Å)).

Main lines, most intense first (2θ from 5° to 70°):
- 2θ = 7.16°, rel. 100
- 2θ = 28.94°, rel. 26
- 2θ = 32.22°, rel. 15
- 2θ = 14.36°, rel. 13
- 2θ = 30.90°, rel. 12
- 2θ = 35.41°, rel. 9
- 2θ = 35.05°, rel. 8
- 2θ = 33.35°, rel. 7

```
data_Na2Ti2Si2O11
_space_group_name_H-M_alt 'P 1'
_space_group_IT_number 1
_cell_length_a 5.4051
_cell_length_b 7.0775
_cell_length_c 12.4502
_cell_angle_alpha 93.52
_cell_angle_beta 96.77
_cell_angle_gamma 90.29
loop_
_space_group_symop_operation_xyz
'x,y,z'
loop_
_atom_site_label
_atom_site_fract_x
_atom_site_fract_y
_atom_site_fract_z
_atom_site_occupancy
Na1 0.1693 0.1657 0.2936 1
Na2 0.2554 0.3855 0.0155 1
Na3 0.7446 0.6145 0.9845 1
Na4 0.8307 0.8343 0.7064 1
Ti1 0.1637 0.6744 0.2357 1
Ti2 0.2200 0.8858 0.9955 1
Ti3 0.7800 0.1142 0.0045 1
Ti4 0.8363 0.3256 0.7643 1
Si1 0.3233 0.6219 0.7786 1
Si2 0.3537 0.0536 0.7703 1
Si3 0.6463 0.9464 0.2297 1
Si4 0.6767 0.3781 0.2214 1
O1 0.0531 0.5291 0.7323 1
O2 0.0851 0.0990 0.0832 1
O3 0.0898 0.1479 0.7306 1
O4 0.1313 0.6916 0.0909 1
O5 0.3270 0.8293 0.7241 1
O6 0.3399 0.6651 0.9116 1
O7 0.3632 0.2670 0.4968 1
O8 0.4047 0.8707 0.2816 1
O9 0.4102 0.0627 0.9062 1
O10 0.4137 0.6931 0.4948 1
O11 0.4293 0.4892 0.2492 1
O12 0.5707 0.5108 0.7508 1
O13 0.5863 0.3069 0.5052 1
O14 0.5898 0.9373 0.0938 1
O15 0.5953 0.1293 0.7184 1
O16 0.6368 0.7330 0.5032 1
O17 0.6601 0.3349 0.0884 1
O18 0.6730 0.1707 0.2759 1
O19 0.8687 0.3084 0.9091 1
O20 0.9102 0.8521 0.2694 1
O21 0.9149 0.9010 0.9168 1
O22 0.9469 0.4709 0.2677 1
```

---

Record 2
For NaSr2NdTi4O12, a crystal structure in the Materials Project, relaxed with GGA-PBE gives the computed powder X-ray diffraction pattern in this record (Cu Kα (λ = 1.5418 Å)).

Main lines, most intense first (2θ from 5° to 70°):
- 2θ = 32.30°, rel. 100
- 2θ = 32.45°, rel. 54
- 2θ = 57.79°, rel. 41
- 2θ = 46.55°, rel. 40
- 2θ = 39.89°, rel. 30
- 2θ = 19.64°, rel. 23
- 2θ = 67.60°, rel. 23
- 2θ = 46.10°, rel. 22

```
data_NaSr2NdTi4O12
_space_group_name_H-M_alt 'P 1'
_space_group_IT_number 1
_cell_length_a 5.5186
_cell_length_b 5.5186
_cell_length_c 7.8754
_cell_angle_alpha 90.00
_cell_angle_beta 90.00
_cell_angle_gamma 90.00
loop_
_space_group_symop_operation_xyz
'x,y,z'
loop_
_atom_site_label
_atom_site_fract_x
_atom_site_fract_y
_atom_site_fract_z
_atom_site_occupancy
Na1 0.0000 0.0000 0.0000 1
Sr1 0.0000 0.0000 0.5000 1
Sr2 0.5000 0.5000 0.5000 1
Nd1 0.5000 0.5000 0.0000 1
Ti1 0.0000 0.5000 0.2462 1
Ti2 0.0000 0.5000 0.7538 1
Ti3 0.5000 0.0000 0.2462 1
Ti4 0.5000 0.0000 0.7538 1
O1 0.0000 0.5000 0.0000 1
O2 0.0000 0.5000 0.5000 1
O3 0.2212 0.2212 0.7511 1
O4 0.2212 0.7788 0.2489 1
O5 0.2905 0.2905 0.2393 1
O6 0.2905 0.7095 0.7607 1
O7 0.5000 0.0000 0.0000 1
O8 0.5000 0.0000 0.5000 1
O9 0.7095 0.2905 0.7607 1
O10 0.7095 0.7095 0.2393 1
O11 0.7788 0.2212 0.2489 1
O12 0.7788 0.7788 0.7511 1
```

---

Record 3
For TlAs5S8, a crystal structure in the Materials Project, relaxed with GGA-PBE gives the computed powder X-ray diffraction pattern in this record (Cu Kα (λ = 1.5418 Å)).

Main lines, most intense first (2θ from 5° to 70°):
- 2θ = 32.19°, rel. 100
- 2θ = 28.80°, rel. 92
- 2θ = 23.20°, rel. 81
- 2θ = 19.04°, rel. 75
- 2θ = 19.96°, rel. 68
- 2θ = 28.54°, rel. 62
- 2θ = 31.52°, rel. 60
- 2θ = 25.10°, rel. 58

```
data_TlAs5S8
_space_group_name_H-M_alt 'P 1'
_space_group_IT_number 1
_cell_length_a 15.9878
_cell_length_b 8.1564
_cell_length_c 11.3609
_cell_angle_alpha 90.00
_cell_angle_beta 91.59
_cell_angle_gamma 90.00
loop_
_space_group_symop_operation_xyz
'x,y,z'
loop_
_atom_site_label
_atom_site_fract_x
_atom_site_fract_y
_atom_site_fract_z
_atom_site_occupancy
Tl1 0.2150 0.1649 0.1637 1
Tl2 0.2150 0.3351 0.6637 1
Tl3 0.7850 0.6649 0.3363 1
Tl4 0.7850 0.8351 0.8363 1
As1 0.0530 0.1736 0.4110 1
As2 0.0530 0.3264 0.9110 1
As3 0.0768 0.6202 0.3916 1
As4 0.0768 0.8798 0.8916 1
As5 0.2382 0.6428 0.0529 1
As6 0.2382 0.8572 0.5529 1
As7 0.3894 0.7212 0.3619 1
As8 0.3894 0.7788 0.8619 1
As9 0.4326 0.0360 0.6201 1
As10 0.4326 0.4640 0.1201 1
As11 0.5674 0.5360 0.8799 1
As12 0.5674 0.9640 0.3799 1
As13 0.6106 0.2212 0.1381 1
As14 0.6106 0.2788 0.6381 1
As15 0.7618 0.1428 0.4471 1
As16 0.7618 0.3572 0.9471 1
As17 0.9232 0.1202 0.1084 1
As18 0.9232 0.3798 0.6084 1
As19 0.9470 0.6736 0.0890 1
As20 0.9470 0.8264 0.5890 1
S1 0.0621 0.6426 0.5908 1
S2 0.0621 0.8574 0.0908 1
S3 0.0700 0.1143 0.5995 1
S4 0.0700 0.3857 0.0995 1
S5 0.1598 0.1097 0.9007 1
S6 0.1598 0.3903 0.4007 1
S7 0.1848 0.6806 0.8672 1
S8 0.1848 0.8194 0.3672 1
S9 0.3174 0.0838 0.4972 1
S10 0.3174 0.4162 0.9972 1
S11 0.3482 0.6682 0.5514 1
S12 0.3482 0.8318 0.0514 1
S13 0.3700 0.0434 0.7999 1
S14 0.3700 0.4566 0.2999 1
S15 0.4673 0.1919 0.1144 1
S16 0.4673 0.3081 0.6144 1
S17 0.5327 0.6919 0.3856 1
S18 0.5327 0.8081 0.8856 1
S19 0.6300 0.5434 0.7001 1
S20 0.6300 0.9566 0.2001 1
S21 0.6518 0.1682 0.9486 1
S22 0.6518 0.3318 0.4486 1
S23 0.6826 0.5838 0.0028 1
S24 0.6826 0.9162 0.5028 1
S25 0.8152 0.1806 0.6328 1
S26 0.8152 0.3194 0.1328 1
S27 0.8402 0.6097 0.5993 1
S28 0.8402 0.8903 0.0993 1
S29 0.9300 0.6143 0.9005 1
S30 0.9300 0.8857 0.4005 1
S31 0.9379 0.1426 0.9092 1
S32 0.9379 0.3574 0.4092 1
```

---

Record 4
For BaSrCe2O6, a crystal structure in the Materials Project, relaxed with GGA-PBE gives the computed powder X-ray diffraction pattern in this record (Cu Kα (λ = 1.5418 Å)).

Main lines, most intense first (2θ from 5° to 70°):
- 2θ = 28.32°, rel. 100
- 2θ = 50.13°, rel. 42
- 2θ = 40.47°, rel. 31
- 2θ = 58.57°, rel. 20
- 2θ = 66.31°, rel. 18
- 2θ = 19.92°, rel. 5
- 2θ = 45.50°, rel. 2
- 2θ = 9.92°, rel. 1

```
data_BaSrCe2O6
_space_group_name_H-M_alt 'P 1'
_space_group_IT_number 1
_cell_length_a 4.4579
_cell_length_b 4.4579
_cell_length_c 8.9129
_cell_angle_alpha 90.00
_cell_angle_beta 90.00
_cell_angle_gamma 90.00
loop_
_space_group_symop_operation_xyz
'x,y,z'
loop_
_atom_site_label
_atom_site_fract_x
_atom_site_fract_y
_atom_site_fract_z
_atom_site_occupancy
Ba1 0.0000 0.0000 0.0000 1
Sr1 0.0000 0.0000 0.5000 1
Ce1 0.5000 0.5000 0.2510 1
Ce2 0.5000 0.5000 0.7490 1
O1 0.0000 0.5000 0.2512 1
O2 0.0000 0.5000 0.7488 1
O3 0.5000 0.0000 0.2512 1
O4 0.5000 0.0000 0.7488 1
O5 0.5000 0.5000 0.0000 1
O6 0.5000 0.5000 0.5000 1
```

---

Record 5
For SrCrCu3Se4, a crystal structure in the Materials Project, relaxed with GGA-PBE gives the computed powder X-ray diffraction pattern in this record (Cu Kα (λ = 1.5418 Å)).

Main lines, most intense first (2θ from 5° to 70°):
- 2θ = 25.59°, rel. 100
- 2θ = 42.39°, rel. 85
- 2θ = 50.11°, rel. 18
- 2θ = 50.21°, rel. 17
- 2θ = 42.46°, rel. 17
- 2θ = 14.69°, rel. 13
- 2θ = 20.83°, rel. 11
- 2θ = 36.49°, rel. 8

```
data_SrCrCu3Se4
_space_group_name_H-M_alt 'P 1'
_space_group_IT_number 1
_cell_length_a 6.0157
_cell_length_b 6.0309
_cell_length_c 6.0426
_cell_angle_alpha 89.98
_cell_angle_beta 89.91
_cell_angle_gamma 89.97
loop_
_space_group_symop_operation_xyz
'x,y,z'
loop_
_atom_site_label
_atom_site_fract_x
_atom_site_fract_y
_atom_site_fract_z
_atom_site_occupancy
Sr1 0.0000 0.0000 0.0000 1
Cr1 0.4997 0.4983 0.4992 1
Cu1 0.0005 0.4997 0.4987 1
Cu2 0.5002 0.9997 0.4991 1
Cu3 0.5003 0.4994 0.9987 1
Se1 0.2744 0.7256 0.7249 1
Se2 0.2747 0.2735 0.2727 1
Se3 0.7252 0.7247 0.2733 1
Se4 0.7265 0.2734 0.7247 1
```

---

Record 6
For YScO2, a crystal structure in the Materials Project, relaxed with GGA-PBE gives the computed powder X-ray diffraction pattern in this record (Cu Kα (λ = 1.5418 Å)).

Main lines, most intense first (2θ from 5° to 70°):
- 2θ = 30.37°, rel. 100
- 2θ = 14.45°, rel. 38
- 2θ = 34.86°, rel. 37
- 2θ = 49.31°, rel. 30
- 2θ = 50.92°, rel. 30
- 2θ = 29.13°, rel. 27
- 2θ = 59.74°, rel. 20
- 2θ = 58.30°, rel. 18

```
data_YScO2
_space_group_name_H-M_alt 'P 1'
_space_group_IT_number 1
_cell_length_a 3.5865
_cell_length_b 3.5865
_cell_length_c 18.3954
_cell_angle_alpha 90.00
_cell_angle_beta 90.00
_cell_angle_gamma 120.00
loop_
_space_group_symop_operation_xyz
'x,y,z'
loop_
_atom_site_label
_atom_site_fract_x
_atom_site_fract_y
_atom_site_fract_z
_atom_site_occupancy
Y1 0.0000 0.0000 0.0000 1
Y2 0.3333 0.6667 0.6667 1
Y3 0.6667 0.3333 0.3333 1
Sc1 0.0000 0.0000 0.5000 1
Sc2 0.3333 0.6667 0.1667 1
Sc3 0.6667 0.3333 0.8333 1
O1 0.0000 0.0000 0.3900 1
O2 0.0000 0.0000 0.6100 1
O3 0.3333 0.6667 0.0567 1
O4 0.3333 0.6667 0.2766 1
O5 0.6667 0.3333 0.7234 1
O6 0.6667 0.3333 0.9433 1
```

---

Record 7
For Zr3ZnCu2, a crystal structure in the Materials Project, relaxed with GGA-PBE gives the computed powder X-ray diffraction pattern in this record (Cu Kα (λ = 1.5418 Å)).

Main lines, most intense first (2θ from 5° to 70°):
- 2θ = 39.13°, rel. 100
- 2θ = 36.81°, rel. 36
- 2θ = 42.76°, rel. 34
- 2θ = 66.30°, rel. 33
- 2θ = 32.63°, rel. 15
- 2θ = 67.85°, rel. 9
- 2θ = 45.50°, rel. 8
- 2θ = 63.68°, rel. 8

```
data_Zr3ZnCu2
_space_group_name_H-M_alt 'P 1'
_space_group_IT_number 1
_cell_length_a 8.4583
_cell_length_b 8.4583
_cell_length_c 8.4583
_cell_angle_alpha 60.00
_cell_angle_beta 60.00
_cell_angle_gamma 60.00
loop_
_space_group_symop_operation_xyz
'x,y,z'
loop_
_atom_site_label
_atom_site_fract_x
_atom_site_fract_y
_atom_site_fract_z
_atom_site_occupancy
Zr1 0.0721 0.0721 0.6779 1
Zr2 0.0721 0.6779 0.0721 1
Zr3 0.0721 0.6779 0.6779 1
Zr4 0.3221 0.3221 0.9279 1
Zr5 0.3221 0.9279 0.3221 1
Zr6 0.3221 0.9279 0.9279 1
Zr7 0.6779 0.0721 0.0721 1
Zr8 0.6779 0.0721 0.6779 1
Zr9 0.6779 0.6779 0.0721 1
Zr10 0.9279 0.3221 0.3221 1
Zr11 0.9279 0.3221 0.9279 1
Zr12 0.9279 0.9279 0.3221 1
Zn1 0.0000 0.5000 0.5000 1
Zn2 0.5000 0.0000 0.5000 1
Zn3 0.5000 0.5000 0.0000 1
Zn4 0.5000 0.5000 0.5000 1
Cu1 0.2932 0.2932 0.2932 1
Cu2 0.2932 0.2932 0.6203 1
Cu3 0.2932 0.6203 0.2932 1
Cu4 0.3797 0.7068 0.7068 1
Cu5 0.6203 0.2932 0.2932 1
Cu6 0.7068 0.3797 0.7068 1
Cu7 0.7068 0.7068 0.3797 1
Cu8 0.7068 0.7068 0.7068 1
```